Record 1
For Sr5Os2N6, a structure optimized by DFT (GGA-PBE) gives the simulated X-ray powder pattern in this record (CuKα).
Neutral-atom scattering factors, no anomalous dispersion.

Cell: 10.4862 7.0157 13.2320 Å, 90.00 103.10 90.00°
Space group C2/c (No. 15)
Inequivalent atoms, fractional coordinates:
Sr (0.0000, 0.1097, 0.2500) x4
Sr (0.0659, 0.2408, 0.9996) x8
Sr (0.1587, 0.3996, 0.7171) x8
Os (0.2316, 0.4035, 0.4434) x8
N (0.0564, 0.4501, 0.3766) x8
N (0.1471, 0.0472, 0.6402) x8
N (0.2089, 0.0231, 0.4178) x8

Most intense lines, 2θ = 10–80°, by angle:
2θ (°)  I (rel.)
13.74  63
15.97  53
17.37  45
27.69  36
29.97  63
31.37  90
32.25  100
32.97  98
39.79  66
40.53  39



Record 2
For Sr3Os3N5, a structure optimized by DFT (GGA-PBE) gives the simulated X-ray powder pattern in this record (CuKα).
Neutral-atom scattering factors, no anomalous dispersion.

Cell: 5.9379 7.1982 9.5341 Å, 110.56 105.05 92.34°
Space group P-1 (No. 2)
Inequivalent atoms, fractional coordinates:
Sr (0.1599, 0.3651, 0.3932) x2
Sr (0.1612, 0.1929, 0.7125) x2
Sr (0.3228, 0.9220, 0.1163) x2
Os (0.1460, 0.4151, 0.0887) x2
Os (0.3831, 0.8247, 0.4695) x2
Os (0.4070, 0.6274, 0.7914) x2
N (0.1404, 0.5973, 0.8553) x2
N (0.2320, 0.0418, 0.4278) x2
N (0.3215, 0.2038, 0.0002) x2
N (0.3718, 0.7430, 0.6353) x2
N (0.3977, 0.6046, 0.2830) x2

Most intense lines, 2θ = 10–80°, by angle:
2θ (°)  I (rel.)
13.28  34
19.75  47
20.06  34
30.24  64
30.75  100
32.29  79
32.46  50
32.79  40
36.18  48
36.63  49



Record 3
For Sr7OsN6, a structure optimized by DFT (GGA-PBE) gives the simulated X-ray powder pattern in this record (CuKα).
Neutral-atom scattering factors, no anomalous dispersion.

Cell: 11.9725 6.7612 14.0384 Å, 90.00 90.00 90.00°
Space group Pbcn (No. 60)
Inequivalent atoms, fractional coordinates:
Sr (0.0000, 0.0713, 0.2500) x4
Sr (0.0349, 0.2301, 0.5158) x8
Sr (0.2138, 0.3909, 0.1209) x8
Sr (0.2162, 0.3715, 0.8749) x8
Os (0.0000, 0.4227, 0.7500) x4
N (0.0293, 0.4094, 0.3573) x8
N (0.1189, 0.2588, 0.7054) x8
N (0.1679, 0.0936, 0.9949) x8

Most intense lines, 2θ = 10–80°, by angle:
2θ (°)  I (rel.)
15.05  18
19.68  16
28.16  24
29.32  18
29.50  100
29.85  34
33.00  31
33.35  24
33.55  17
39.92  18